Record 1
This entry pairs a crystal structure of Cu2BiO4 with its simulated powder XRD pattern. Radiation: copper Kα. Structure: the PBE geometry in Alexandria.
No peak broadening, texture or thermal motion is included.

Peak list (12 most intense, 15° ≤ 2θ ≤ 90°, by intensity)
| 2θ/deg | d/Å | I_rel |
| --- | --- | --- |
| 27.9 | 3.196 | 1000 |
| 24.2 | 3.672 | 695 |
| 32.9 | 2.725 | 507 |
| 41.3 | 2.186 | 401 |
| 43.5 | 2.082 | 400 |
| 49.7 | 1.836 | 395 |
| 31.3 | 2.861 | 340 |
| 18.2 | 4.872 | 295 |
| 45.5 | 1.992 | 295 |
| 33.6 | 2.667 | 247 |
| 51.7 | 1.768 | 239 |
| 50.6 | 1.804 | 192 |

Cell and atoms:
a = 7.581 Å, b = 6.817 Å, c = 5.675 Å
α = 74.10°, β = 59.86°, γ = 46.04°
Positions (direct):
Cu 0.000 0.000 0.000
Cu 0.000 0.000 0.500
Cu 0.000 0.500 0.000
Cu 0.500 0.000 0.000
Bi 0.375 0.375 0.375
Bi 0.625 0.625 0.625
O 0.156 0.324 0.248
O 0.229 0.752 0.676
O 0.248 0.771 0.156
O 0.324 0.156 0.771
O 0.676 0.844 0.229
O 0.752 0.229 0.844
O 0.771 0.248 0.324
O 0.844 0.676 0.752

Record 2
This entry pairs a crystal structure of CuBi2O4 with its simulated powder XRD pattern. Radiation: copper Kα. Structure: the PBE geometry in Alexandria.
No peak broadening, texture or thermal motion is included.

Peak list (12 most intense, 15° ≤ 2θ ≤ 90°, by intensity)
| 2θ/deg | d/Å | I_rel |
| --- | --- | --- |
| 27.4 | 3.250 | 1000 |
| 45.0 | 2.015 | 360 |
| 31.8 | 2.815 | 323 |
| 54.6 | 1.682 | 202 |
| 54.0 | 1.699 | 183 |
| 37.8 | 2.381 | 178 |
| 20.0 | 4.447 | 173 |
| 45.6 | 1.990 | 126 |
| 58.2 | 1.585 | 112 |
| 62.7 | 1.483 | 104 |
| 43.1 | 2.097 | 99 |
| 65.9 | 1.417 | 98 |

Cell and atoms:
a = 6.892 Å, b = 6.892 Å, c = 6.892 Å
α = 99.63°, β = 99.63°, γ = 131.71°
Positions (direct):
Cu 0.000 0.000 0.000
Cu 0.500 0.500 0.000
Bi 0.029 0.529 0.159
Bi 0.369 0.869 0.841
Bi 0.529 0.369 0.500
Bi 0.869 0.029 0.500
O 0.123 0.207 0.297
O 0.207 0.911 0.085
O 0.326 0.411 0.703
O 0.411 0.707 0.085
O 0.623 0.326 0.915
O 0.707 0.623 0.297
O 0.826 0.123 0.915
O 0.911 0.826 0.703

Record 3
This entry pairs a crystal structure of CuBi2O4 with its simulated powder XRD pattern. Radiation: copper Kα. Structure: the PBE geometry in Alexandria.
No peak broadening, texture or thermal motion is included.

Peak list (12 most intense, 15° ≤ 2θ ≤ 90°, by intensity)
| 2θ/deg | d/Å | I_rel |
| --- | --- | --- |
| 27.8 | 3.210 | 1000 |
| 46.7 | 1.946 | 347 |
| 51.4 | 1.779 | 233 |
| 33.4 | 2.679 | 221 |
| 55.1 | 1.666 | 187 |
| 36.5 | 2.460 | 184 |
| 21.0 | 4.236 | 164 |
| 29.6 | 3.022 | 145 |
| 60.8 | 1.523 | 111 |
| 64.8 | 1.439 | 102 |
| 45.2 | 2.005 | 90 |
| 45.4 | 1.997 | 87 |

Cell and atoms:
a = 8.473 Å, b = 8.473 Å, c = 6.044 Å
α = 90.00°, β = 90.00°, γ = 90.00°
Positions (direct):
Cu 0.250 0.250 0.076
Cu 0.250 0.250 0.576
Cu 0.750 0.750 0.424
Cu 0.750 0.750 0.924
Bi 0.080 0.580 0.250
Bi 0.080 0.920 0.750
Bi 0.420 0.580 0.750
Bi 0.420 0.920 0.250
Bi 0.580 0.080 0.750
Bi 0.580 0.420 0.250
Bi 0.920 0.080 0.250
Bi 0.920 0.420 0.750
O 0.041 0.151 0.590
O 0.041 0.349 0.090
O 0.151 0.041 0.090
O 0.151 0.459 0.590
O 0.349 0.041 0.590
O 0.349 0.459 0.090
O 0.459 0.151 0.090
O 0.459 0.349 0.590
O 0.541 0.651 0.410
O 0.541 0.849 0.910
O 0.651 0.541 0.910
O 0.651 0.959 0.410
O 0.849 0.541 0.410
O 0.849 0.959 0.910
O 0.959 0.651 0.910
O 0.959 0.849 0.410

Record 4
This entry pairs a crystal structure of Cu6BiO8 with its simulated powder XRD pattern. Radiation: copper Kα. Structure: the PBE geometry in Alexandria.
No peak broadening, texture or thermal motion is included.

Peak list (12 most intense, 15° ≤ 2θ ≤ 90°, by intensity)
| 2θ/deg | d/Å | I_rel |
| --- | --- | --- |
| 33.1 | 2.709 | 1000 |
| 16.4 | 5.418 | 807 |
| 55.4 | 1.659 | 433 |
| 66.0 | 1.415 | 387 |
| 38.4 | 2.346 | 335 |
| 42.0 | 2.153 | 300 |
| 31.6 | 2.829 | 219 |
| 58.2 | 1.586 | 150 |
| 50.5 | 1.806 | 108 |
| 71.8 | 1.314 | 89 |
| 69.4 | 1.354 | 87 |
| 78.3 | 1.222 | 64 |

Cell and atoms:
a = 6.635 Å, b = 6.635 Å, c = 6.635 Å
α = 60.00°, β = 60.00°, γ = 60.00°
Positions (direct):
Cu 0.000 0.000 0.500
Cu 0.000 0.500 0.000
Cu 0.000 0.500 0.500
Cu 0.500 0.000 0.000
Cu 0.500 0.000 0.500
Cu 0.500 0.500 0.000
Bi 0.000 0.000 0.000
O 0.145 0.145 0.145
O 0.145 0.145 0.566
O 0.145 0.566 0.145
O 0.434 0.855 0.855
O 0.566 0.145 0.145
O 0.855 0.434 0.855
O 0.855 0.855 0.434
O 0.855 0.855 0.855